Entry 1:
The following is a simulated PXRD pattern of AcMgNp2O8. It was derived from a cell relaxed with PBE, using a wavelength of 1.5418 Å.

Atomic structure:
```
data_AcMgNp2O8
_chemical_formula_sum 'Ac2 Mg2 Np4 O16'
_space_group_name_H-M_alt 'I -4'
_space_group_IT_number 82
_space_group_name_Hall 'I -4'
_cell_length_a 5.470
_cell_length_b 5.470
_cell_length_c 10.611
_cell_angle_alpha 90.00
_cell_angle_beta 90.00
_cell_angle_gamma 90.00
loop_
_atom_site_label
_atom_site_type_symbol
_atom_site_fract_x
_atom_site_fract_y
_atom_site_fract_z
Ac1 Ac 0.000 0.000 0.000
Mg1 Mg 0.000 0.500 0.250
Np1 Np 0.000 0.000 0.500
Np2 Np 0.000 0.500 0.750
O1 O 0.190 0.733 0.614
O2 O 0.216 0.749 0.357
```

The 8 most intense peaks (2θ from 10° to 90°), sorted by position:
18.25°, I 25, hkl 1 0 1
28.56°, I 100, hkl 1 1 2
32.74°, I 24, hkl 2 0 0
46.98°, I 17, hkl 2 2 0
47.76°, I 33, hkl 2 0 4
55.91°, I 32, hkl 3 1 2
57.28°, I 15, hkl 1 1 6
77.13°, I 13, hkl 1 3 6

---

Entry 2:
The following is a simulated PXRD pattern of ScBiS. It was derived from a cell relaxed with PBE, using a wavelength of 1.5418 Å.

Atomic structure:
```
data_ScBiS
_chemical_formula_sum 'Sc2 Bi2 S2'
_space_group_name_H-M_alt 'P m m n'
_space_group_IT_number 59
_cell_length_a 3.726
_cell_length_b 5.092
_cell_length_c 8.156
_cell_angle_alpha 90.00
_cell_angle_beta 90.00
_cell_angle_gamma 90.00
loop_
_space_group_symop_operation_xyz
'x,y,z'
'-x,-y,-z'
'-x+1/2,-y+1/2,z'
'x+1/2,y+1/2,-z'
'x+1/2,-y,-z'
'-x+1/2,y,z'
'-x,y+1/2,-z'
'x,-y+1/2,z'
loop_
_atom_site_label
_atom_site_type_symbol
_atom_site_fract_x
_atom_site_fract_y
_atom_site_fract_z
Sc1 Sc 0.250 0.250 0.105
Bi1 Bi 0.250 0.750 0.563
S1 S 0.250 0.750 0.105
```

The 8 most intense peaks (2θ from 10° to 90°), sorted by position:
10.85°, I 100, hkl 0 0 1
21.79°, I 41, hkl 0 0 2
29.71°, I 54, hkl 1 1 0
31.71°, I 95, hkl 1 1 1
32.55°, I 56, hkl 1 0 2
35.25°, I 37, hkl 0 2 0
37.50°, I 32, hkl 0 1 3
48.73°, I 35, hkl 1 2 2

---

Entry 3:
The following is a simulated PXRD pattern of LiY6Cu5. It was derived from a cell relaxed with PBE, using a wavelength of 1.5418 Å.

Atomic structure:
```
data_LiY6Cu5
_chemical_formula_sum 'Li2 Y12 Cu10'
_space_group_name_H-M_alt 'C m m m'
_space_group_IT_number 65
_space_group_name_Hall '-C 2 2'
_cell_length_a 4.965
_cell_length_b 14.954
_cell_length_c 6.981
_cell_angle_alpha 90.00
_cell_angle_beta 90.00
_cell_angle_gamma 90.00
loop_
_atom_site_label
_atom_site_type_symbol
_atom_site_fract_x
_atom_site_fract_y
_atom_site_fract_z
Li1 Li 0.000 0.000 0.000
Y1 Y 0.000 0.170 0.253
Y2 Y 0.000 0.500 0.258
Cu1 Cu 0.000 0.000 0.500
Cu2 Cu 0.000 0.333 0.500
Cu3 Cu 0.000 0.342 0.000
```

The 8 most intense peaks (2θ from 10° to 90°), sorted by position:
36.04°, I 20, hkl 0 6 0
36.24°, I 100, hkl 2 0 0
51.99°, I 13, hkl 2 6 0
64.93°, I 13, hkl 1 9 2
65.13°, I 13, hkl 3 3 2
65.31°, I 13, hkl 2 0 4
76.97°, I 8, hkl 2 6 4
87.85°, I 8, hkl 4 6 0